Entry 1:
# Nd5Sm3Se8
Calculated powder diffractogram, Cu Ka. Input: a crystal structure in Alexandria, relaxed with GGA-PBE.
Neutral-atom scattering factors, no anomalous dispersion.

The 10 most intense peaks (2θ = 10–80°), by angle:
25.91°, d = 3.438 Å, I 16.5; 30.01°, d = 2.977 Å, I 100.0; 42.96°, d = 2.105 Å, I 74.6; 50.85°, d = 1.795 Å, I 8.3; 53.29°, d = 1.719 Å, I 26.3; 62.37°, d = 1.489 Å, I 12.2; 68.71°, d = 1.366 Å, I 3.4; 70.75°, d = 1.332 Å, I 33.6; 78.71°, d = 1.216 Å, I 18.8; 78.76°, d = 1.215 Å, I 6.3

Crystal structure
```
Nd5Sm3Se8
1.0
4.2090 2.4301 6.8821
-4.2090 2.4301 6.8821
0.0000 -4.8601 6.8821
Nd Sm Se
5 3 8
direct
0.0000 0.0000 0.0000
0.0000 0.5000 0.5000
0.5000 0.0000 0.5000
0.5000 0.5000 0.0000
0.5000 0.5000 0.5000
0.0000 0.0000 0.5000
0.0000 0.5000 0.0000
0.5000 0.0000 0.0000
0.2463 0.7500 0.7500
0.2482 0.2482 0.2482
0.2500 0.2500 0.7537
0.2500 0.7537 0.2500
0.7500 0.2463 0.7500
0.7500 0.7500 0.2463
0.7518 0.7518 0.7518
0.7537 0.2500 0.2500
```

=====

Entry 2:
# Pr5TlPb3
Calculated powder diffractogram, Cu Ka. Input: a crystal structure in Alexandria, relaxed with GGA-PBE.
Neutral-atom scattering factors, no anomalous dispersion.

The 10 most intense peaks (2θ = 10–80°), by angle:
30.68°, d = 2.914 Å, I 41.7; 31.47°, d = 2.843 Å, I 91.2; 31.94°, d = 2.802 Å, I 100.0; 40.36°, d = 2.235 Å, I 15.5; 45.45°, d = 1.996 Å, I 29.9; 49.05°, d = 1.857 Å, I 11.5; 53.78°, d = 1.704 Å, I 12.7; 56.32°, d = 1.634 Å, I 23.0; 58.87°, d = 1.569 Å, I 13.1; 63.67°, d = 1.462 Å, I 24.7

Crystal structure
```
Pr5TlPb3
1.0
9.8488 0.0000 0.0000
-4.9244 8.5293 0.0000
0.0000 0.0000 6.8159
Pr Tl Pb
10 2 6
direct
0.0000 0.2789 0.2500
0.0000 0.7211 0.7500
0.2789 0.0000 0.2500
0.2789 0.2789 0.7500
0.3333 0.6667 0.0000
0.3333 0.6667 0.5000
0.6667 0.3333 0.0000
0.6667 0.3333 0.5000
0.7211 0.0000 0.7500
0.7211 0.7211 0.2500
0.0000 0.0000 0.0000
0.0000 0.0000 0.5000
0.0000 0.3748 0.7500
0.0000 0.6252 0.2500
0.3748 0.0000 0.7500
0.3748 0.3748 0.2500
0.6252 0.0000 0.2500
0.6252 0.6252 0.7500
```

=====

Entry 3:
# Pm2PrY6Ho2
Calculated powder diffractogram, Cu Ka. Input: a crystal structure in Alexandria, relaxed with GGA-PBE.
Neutral-atom scattering factors, no anomalous dispersion.

The 10 most intense peaks (2θ = 10–80°), by angle:
30.48°, d = 2.932 Å, I 23.8; 30.80°, d = 2.903 Å, I 19.7; 31.26°, d = 2.861 Å, I 36.9; 31.95°, d = 2.801 Å, I 100.0; 33.56°, d = 2.670 Å, I 19.9; 44.46°, d = 2.038 Å, I 14.3; 46.52°, d = 1.952 Å, I 15.9; 56.08°, d = 1.640 Å, I 19.9; 61.98°, d = 1.497 Å, I 13.4; 62.37°, d = 1.489 Å, I 11.2

Crystal structure
```
Pm2PrY6Ho2
1.0
2.8610 -6.0325 0.0000
2.8610 6.0325 0.0000
-0.0112 0.0000 10.6816
Pm Pr Y Ho
2 1 6 2
direct
0.1349 0.8651 0.0000
0.8651 0.1349 0.0000
0.5000 0.5000 0.5000
0.0005 0.0005 0.2894
0.9995 0.9995 0.7106
0.3457 0.6534 0.7903
0.3466 0.6543 0.2097
0.6534 0.3457 0.7903
0.6543 0.3466 0.2097
0.2028 0.7972 0.5000
0.7972 0.2028 0.5000
```

=====

Entry 4:
# LiYTh2N4
Calculated powder diffractogram, Cu Ka. Input: a crystal structure in Alexandria, relaxed with GGA-PBE.
Neutral-atom scattering factors, no anomalous dispersion.

The 10 most intense peaks (2θ = 10–80°), by angle:
14.98°, d = 5.916 Å, I 43.7; 25.86°, d = 3.445 Å, I 25.6; 27.29°, d = 3.268 Å, I 100.0; 30.02°, d = 2.977 Å, I 48.5; 30.62°, d = 2.920 Å, I 35.7; 33.89°, d = 2.645 Å, I 28.1; 37.24°, d = 2.415 Å, I 37.5; 41.14°, d = 2.194 Å, I 27.3; 46.56°, d = 1.950 Å, I 28.8; 58.47°, d = 1.578 Å, I 24.8

Crystal structure
```
LiYTh2N4
1.0
1.8025 -5.8394 0.0000
1.8025 5.8394 0.0000
0.0000 0.0000 11.8316
Li Y Th N
2 2 4 8
direct
0.1627 0.8373 0.7500
0.8373 0.1627 0.2500
0.1005 0.8995 0.2500
0.8995 0.1005 0.7500
0.3687 0.6313 0.0612
0.3687 0.6313 0.4388
0.6313 0.3687 0.5612
0.6313 0.3687 0.9388
0.0000 0.0000 0.0000
0.0000 0.0000 0.5000
0.2618 0.7382 0.6161
0.2618 0.7382 0.8839
0.4627 0.5373 0.2500
0.5373 0.4627 0.7500
0.7382 0.2618 0.1161
0.7382 0.2618 0.3839
```

=====

Entry 5:
# Tb4Zn2Ir
Calculated powder diffractogram, Cu Ka. Input: a crystal structure in Alexandria, relaxed with GGA-PBE.
Neutral-atom scattering factors, no anomalous dispersion.

The 10 most intense peaks (2θ = 10–80°), by angle:
15.36°, d = 5.768 Å, I 14.2; 23.86°, d = 3.730 Å, I 7.7; 25.57°, d = 3.484 Å, I 9.5; 36.17°, d = 2.484 Å, I 100.0; 36.76°, d = 2.445 Å, I 19.2; 52.54°, d = 1.742 Å, I 13.8; 64.64°, d = 1.442 Å, I 7.2; 65.05°, d = 1.434 Å, I 21.4; 65.81°, d = 1.419 Å, I 13.9; 76.72°, d = 1.242 Å, I 9.3

Crystal structure
```
Tb4Zn2Ir
1.0
7.0871 0.0000 0.0000
0.0000 9.9273 0.0000
0.0000 0.0000 4.8902
Tb Zn Ir
8 4 2
direct
0.2415 0.0000 0.0000
0.2500 0.2500 0.5000
0.2500 0.7500 0.5000
0.2585 0.5000 0.0000
0.7415 0.5000 0.0000
0.7500 0.2500 0.5000
0.7500 0.7500 0.5000
0.7585 0.0000 0.0000
0.0000 0.2534 0.0000
0.0000 0.7466 0.0000
0.5000 0.2466 0.0000
0.5000 0.7534 0.0000
0.0000 0.0000 0.5000
0.5000 0.5000 0.5000
```

=====

Entry 6:
# SmCrC
Calculated powder diffractogram, Cu Ka. Input: a crystal structure in Alexandria, relaxed with GGA-PBE.
Neutral-atom scattering factors, no anomalous dispersion.

The 10 most intense peaks (2θ = 10–80°), by angle:
20.39°, d = 4.355 Å, I 16.2; 28.72°, d = 3.108 Å, I 100.0; 30.79°, d = 2.904 Å, I 31.3; 33.91°, d = 2.644 Å, I 34.0; 39.69°, d = 2.271 Å, I 20.3; 41.27°, d = 2.188 Å, I 18.5; 43.73°, d = 2.070 Å, I 56.9; 50.06°, d = 1.822 Å, I 26.0; 63.40°, d = 1.467 Å, I 16.7; 66.82°, d = 1.400 Å, I 20.0

Crystal structure
```
SmCrC
1.0
3.3225 0.0000 0.0000
0.0000 3.3311 0.0000
-0.0145 0.0000 8.7110
Sm Cr C
2 2 2
direct
0.2486 0.2500 0.2011
0.7514 0.7500 0.7989
0.2500 0.7500 0.5002
0.7500 0.2500 0.4998
0.2507 0.2500 0.6505
0.7493 0.7500 0.3495
```

=====

Entry 7:
# DyPu4S6
Calculated powder diffractogram, Cu Ka. Input: a crystal structure in Alexandria, relaxed with GGA-PBE.
Neutral-atom scattering factors, no anomalous dispersion.

The 10 most intense peaks (2θ = 10–80°), by angle:
25.59°, d = 3.481 Å, I 29.9; 26.12°, d = 3.411 Å, I 100.0; 27.31°, d = 3.266 Å, I 33.5; 27.50°, d = 3.244 Å, I 42.2; 29.98°, d = 2.981 Å, I 25.1; 31.23°, d = 2.864 Å, I 27.9; 32.20°, d = 2.780 Å, I 54.5; 33.77°, d = 2.655 Å, I 44.7; 43.65°, d = 2.074 Å, I 31.4; 54.50°, d = 1.684 Å, I 32.5

Crystal structure
```
DyPu4S6
1.0
1.9364 -6.5320 0.0000
1.9364 6.5320 0.0000
0.0000 0.0000 19.9985
Dy Pu S
2 8 12
direct
0.1511 0.8489 0.7500
0.8489 0.1511 0.2500
0.0924 0.9076 0.1311
0.0924 0.9076 0.3689
0.3625 0.6375 0.0405
0.3625 0.6375 0.4595
0.6375 0.3625 0.5405
0.6375 0.3625 0.9595
0.9076 0.0924 0.6311
0.9076 0.0924 0.8689
0.0000 0.0000 0.0000
0.0000 0.0000 0.5000
0.1990 0.8010 0.2500
0.2716 0.7284 0.5865
0.2716 0.7284 0.9135
0.4500 0.5500 0.1689
0.4500 0.5500 0.3311
0.5500 0.4500 0.6689
0.5500 0.4500 0.8311
0.7284 0.2716 0.0865
0.7284 0.2716 0.4135
0.8010 0.1990 0.7500
```

=====

Entry 8:
# LiMg17Al11
Calculated powder diffractogram, Cu Ka. Input: a crystal structure in Alexandria, relaxed with GGA-PBE.
Neutral-atom scattering factors, no anomalous dispersion.

The 10 most intense peaks (2θ = 10–80°), by angle:
34.06°, d = 2.632 Å, I 8.4; 36.19°, d = 2.482 Å, I 100.0; 36.25°, d = 2.478 Å, I 21.8; 40.17°, d = 2.245 Å, I 26.6; 42.02°, d = 2.150 Å, I 5.9; 42.08°, d = 2.147 Å, I 6.9; 43.83°, d = 2.066 Å, I 12.5; 43.89°, d = 2.063 Å, I 6.0; 65.03°, d = 1.434 Å, I 7.9; 65.13°, d = 1.432 Å, I 21.3

Crystal structure
```
LiMg17Al11
1.0
5.2691 -7.4335 0.0000
5.2691 7.4335 0.0000
-5.2525 0.0000 7.4464
Li Mg Al
1 17 11
direct
0.0000 0.0000 0.0000
0.1043 0.5021 0.8679
0.1338 0.4213 0.1847
0.1343 0.8179 0.7863
0.1619 0.8186 0.1826
0.2170 0.2170 0.9005
0.2203 0.5361 0.5844
0.4194 0.8199 0.4995
0.4213 0.1338 0.1847
0.4709 0.4709 0.8391
0.5007 0.5007 0.4660
0.5021 0.1043 0.8679
0.5361 0.2203 0.5844
0.8179 0.1343 0.7863
0.8186 0.1619 0.1826
0.8189 0.8189 0.1834
0.8199 0.4194 0.4995
0.8204 0.8204 0.5305
0.0020 0.1871 0.5508
0.0047 0.6406 0.3709
0.1836 0.1836 0.3614
0.1871 0.0020 0.5508
0.4519 0.8161 0.9992
0.4548 0.6353 0.1874
0.6305 0.8150 0.8157
0.6353 0.4548 0.1874
0.6406 0.0047 0.3709
0.8150 0.6305 0.8157
0.8161 0.4519 0.9992
```